Entry 1:
Starting from a crystal structure in Alexandria, relaxed with PBE, the powder XRD pattern of GeAu was computed for Cu Kα (λ = 1.5418 Å).

Principal peaks in the range 15° ≤ 2θ ≤ 90°, sorted by position:
h k l	2θ (°)	intensity
1 0 1	20.25	61
2 1 1	30.24	35
2 2 0	31.64	58
0 0 2	34.20	61
1 3 0	35.49	91
3 2 1	44.33	35
2 2 2	47.28	38
1 3 2	50.12	100
3 5 0	68.36	25
4 5 1	78.73	37

Cell and atoms:
abc: 8.000 8.000 5.243
angles: 90.00 90.00 90.00
Positions (direct):
Ge  0.059  0.306  0.000
Ge  0.194  0.559  0.500
Ge  0.306  0.941  0.000
Ge  0.441  0.194  0.500
Ge  0.559  0.806  0.500
Ge  0.694  0.059  0.000
Ge  0.806  0.441  0.500
Ge  0.941  0.694  0.000
Au  0.069  0.241  0.500
Au  0.241  0.931  0.500
Au  0.259  0.569  0.000
Au  0.431  0.259  0.000
Au  0.569  0.741  0.000
Au  0.741  0.431  0.000
Au  0.759  0.069  0.500
Au  0.931  0.759  0.500

Entry 2:
Starting from a crystal structure in Alexandria, relaxed with PBE, the powder XRD pattern of AcFe4 was computed for Cu Kα (λ = 1.5418 Å).

Principal peaks in the range 15° ≤ 2θ ≤ 90°, sorted by position:
h k l	2θ (°)	intensity
1 0 0	18.56	100
1 1 0	26.37	87
2 0 0	37.64	75
2 1 0	42.28	51
2 1 1	46.55	39
2 2 0	54.29	50
3 0 0	57.88	26
3 1 0	61.34	17
2 2 2	67.94	17
3 2 1	74.25	20

Cell and atoms:
abc: 4.779 4.779 4.779
angles: 90.00 90.00 90.00
Positions (direct):
Ac  0.000  0.000  0.000
Fe  0.000  0.000  0.500
Fe  0.000  0.500  0.000
Fe  0.500  0.000  0.000
Fe  0.500  0.500  0.500

Entry 3:
Starting from a crystal structure in Alexandria, relaxed with PBE, the powder XRD pattern of NdPuTe2N was computed for Cu Kα (λ = 1.5418 Å).

Principal peaks in the range 15° ≤ 2θ ≤ 90°, sorted by position:
h k l	2θ (°)	intensity
1 0 3	27.15	60
1 1 0	30.92	92
1 0 5	34.90	100
1 1 4	37.97	16
2 0 0	44.29	39
2 1 3	52.73	20
1 0 9	54.83	15
2 1 5	57.59	48
2 2 0	64.43	13
3 1 0	73.17	16

Cell and atoms:
abc: 4.090 4.090 16.530
angles: 90.00 90.00 90.00
Positions (direct):
Nd  0.250  0.250  0.147
Nd  0.750  0.750  0.853
Pu  0.250  0.250  0.562
Pu  0.750  0.750  0.438
Te  0.250  0.250  0.328
Te  0.250  0.250  0.920
Te  0.750  0.750  0.080
Te  0.750  0.750  0.672
N  0.250  0.750  0.500
N  0.750  0.250  0.500

Entry 4:
Starting from a crystal structure in Alexandria, relaxed with PBE, the powder XRD pattern of AcCeSe2N was computed for Cu Kα (λ = 1.5418 Å).

Principal peaks in the range 15° ≤ 2θ ≤ 90°, sorted by position:
h k l	2θ (°)	intensity
0 0 3	17.16	21
1 0 1	22.06	34
0 0 4	22.94	29
1 0 2	24.22	47
1 1 0	30.29	100
1 0 5	36.08	86
1 1 4	38.34	38
2 0 0	43.37	42
2 1 5	57.65	45
3 1 0	71.49	18

Cell and atoms:
abc: 4.173 4.173 15.506
angles: 90.00 90.00 90.00
Positions (direct):
Ac  0.250  0.250  0.139
Ac  0.750  0.750  0.861
Ce  0.250  0.250  0.568
Ce  0.750  0.750  0.432
Se  0.250  0.250  0.324
Se  0.250  0.250  0.916
Se  0.750  0.750  0.084
Se  0.750  0.750  0.676
N  0.250  0.750  0.500
N  0.750  0.250  0.500

Entry 5:
Starting from a crystal structure in Alexandria, relaxed with PBE, the powder XRD pattern of TbNdTe2S was computed for Cu Kα (λ = 1.5418 Å).

Principal peaks in the range 15° ≤ 2θ ≤ 90°, sorted by position:
h k l	2θ (°)	intensity
0 0 4	22.54	22
1 0 3	26.19	32
1 1 0	28.28	100
1 1 4	36.46	40
1 0 6	39.78	27
2 0 0	40.43	54
1 1 6	44.87	17
2 1 6	58.02	18
2 2 0	58.50	20
3 1 0	66.23	32

Cell and atoms:
abc: 4.462 4.462 15.781
angles: 90.00 90.00 90.00
Positions (direct):
Tb  0.250  0.250  0.112
Tb  0.750  0.750  0.888
Nd  0.250  0.250  0.605
Nd  0.750  0.750  0.395
Te  0.250  0.250  0.297
Te  0.250  0.250  0.907
Te  0.750  0.750  0.093
Te  0.750  0.750  0.703
S  0.250  0.750  0.500
S  0.750  0.250  0.500

Entry 6:
Starting from a crystal structure in Alexandria, relaxed with PBE, the powder XRD pattern of CeZnRh was computed for Cu Kα (λ = 1.5418 Å).

Principal peaks in the range 15° ≤ 2θ ≤ 90°, sorted by position:
h k l	2θ (°)	intensity
2 1 0	33.42	43
1 1 4	34.13	69
0 1 5	36.00	54
2 0 5	36.81	43
2 1 3	37.42	100
1 1 5	38.08	20
3 0 4	42.87	27
2 1 5	43.77	35
0 0 8	44.57	21
0 2 0	46.72	42

Cell and atoms:
abc: 7.403 3.888 16.262
angles: 90.00 90.00 90.00
Positions (direct):
Ce  0.061  0.250  0.216
Ce  0.175  0.250  0.441
Ce  0.325  0.750  0.941
Ce  0.439  0.750  0.716
Ce  0.561  0.250  0.284
Ce  0.675  0.250  0.059
Ce  0.825  0.750  0.559
Ce  0.939  0.750  0.784
Zn  0.004  0.750  0.061
Zn  0.110  0.250  0.653
Zn  0.390  0.750  0.153
Zn  0.496  0.250  0.561
Zn  0.504  0.750  0.439
Zn  0.610  0.250  0.847
Zn  0.890  0.750  0.347
Zn  0.996  0.250  0.939
Rh  0.239  0.250  0.814
Rh  0.246  0.750  0.562
Rh  0.254  0.250  0.062
Rh  0.261  0.750  0.314
Rh  0.739  0.250  0.686
Rh  0.746  0.750  0.938
Rh  0.754  0.250  0.438
Rh  0.761  0.750  0.186

Entry 7:
Starting from a crystal structure in Alexandria, relaxed with PBE, the powder XRD pattern of CaHo3Cd6 was computed for Cu Kα (λ = 1.5418 Å).

Principal peaks in the range 15° ≤ 2θ ≤ 90°, sorted by position:
h k l	2θ (°)	intensity
2 0 -4	34.13	100
1 1 3	34.37	66
0 2 0	34.54	33
4 0 2	49.01	11
2 2 -4	49.39	23
5 1 -5	60.98	11
4 2 2	61.34	12
1 1 -7	61.49	18
3 3 -1	61.60	12
1 3 3	61.78	12

Cell and atoms:
abc: 9.147 5.194 11.092
angles: 90.00 106.05 90.00
Positions (direct):
Ca  0.054  0.250  0.391
Ca  0.946  0.750  0.609
Ho  0.241  0.250  0.997
Ho  0.355  0.750  0.799
Ho  0.467  0.250  0.607
Ho  0.533  0.750  0.393
Ho  0.645  0.250  0.201
Ho  0.759  0.750  0.003
Cd  0.054  0.750  0.905
Cd  0.140  0.750  0.200
Cd  0.161  0.250  0.695
Cd  0.250  0.750  0.504
Cd  0.345  0.250  0.292
Cd  0.443  0.750  0.097
Cd  0.557  0.250  0.903
Cd  0.655  0.750  0.708
Cd  0.750  0.250  0.496
Cd  0.839  0.750  0.305
Cd  0.860  0.250  0.800
Cd  0.946  0.250  0.095

Entry 8:
Starting from a crystal structure in Alexandria, relaxed with PBE, the powder XRD pattern of Rb2Sn10Pb was computed for Cu Kα (λ = 1.5418 Å).

Principal peaks in the range 15° ≤ 2θ ≤ 90°, sorted by position:
h k l	2θ (°)	intensity
3 1 1	27.09	20
3 3 0	30.95	100
0 4 1	31.13	22
2 1 2	31.27	19
2 4 0	32.03	17
3 3 1	33.78	34
1 4 2	39.69	17
4 1 2	41.14	27
3 3 3	51.45	15
3 3 4	63.81	19

Cell and atoms:
abc: 11.841 12.695 6.763
angles: 90.00 90.00 90.00
Positions (direct):
Rb  0.125  0.133  0.000
Rb  0.375  0.633  0.000
Rb  0.625  0.367  0.000
Rb  0.875  0.867  0.000
Sn  0.027  0.707  0.500
Sn  0.161  0.480  0.500
Sn  0.179  0.850  0.236
Sn  0.179  0.850  0.764
Sn  0.206  0.191  0.500
Sn  0.294  0.691  0.500
Sn  0.321  0.350  0.236
Sn  0.321  0.350  0.764
Sn  0.339  0.980  0.500
Sn  0.473  0.207  0.500
Sn  0.527  0.793  0.500
Sn  0.661  0.020  0.500
Sn  0.679  0.650  0.236
Sn  0.679  0.650  0.764
Sn  0.706  0.309  0.500
Sn  0.794  0.809  0.500
Sn  0.821  0.150  0.236
Sn  0.821  0.150  0.764
Sn  0.839  0.520  0.500
Sn  0.973  0.293  0.500
Pb  0.000  0.000  0.500
Pb  0.500  0.500  0.500